(1)
Starting from a crystal structure in Alexandria, relaxed with PBE, the powder diffraction line list of CsPmMnCl6 was simulated for CuKα.

Structural model:
Lattice parameters (Å, degrees): 6.9541 6.9541 7.7186 90.00 90.00 120.00
Space group P312 (No. 149)
Inequivalent atoms, fractional coordinates:
Cs  0.0000  0.0000  0.0000
Pm  0.6667  0.3333  0.5000
Mn  0.3333  0.6667  0.5000
Cl  0.0185  0.3900  0.6962

Principal peaks in the range 10° ≤ 2θ ≤ 90°, in order of rising 2θ:
(0 0 1), 2θ = 11.46°, intensity 18
(1 0 1), 2θ = 18.69°, intensity 100
(1 1 0), 2θ = 25.62°, intensity 19
(2 0 1), 2θ = 31.90°, intensity 20
(2 -1 2), 2θ = 34.73°, intensity 58
(3 -1 1), 2θ = 41.35°, intensity 27

***

(2)
Starting from a crystal structure in Alexandria, relaxed with PBE, the powder diffraction line list of CsRb2MnCl6 was simulated for CuKα.

Structural model:
Lattice parameters (Å, degrees): 7.625 8.303 13.007 90.00 123.75 90.00
Space group P2_1/c (No. 14)
Inequivalent atoms, fractional coordinates:
Cs  0.000  0.000  0.000
Rb  0.212  0.064  0.741
Mn  0.500  0.000  0.500
Cl  0.219  0.155  0.466
Cl  0.249  0.742  0.411
Cl  0.417  0.063  0.305

Principal peaks in the range 10° ≤ 2θ ≤ 90°, in order of rising 2θ:
(0 2 0), 2θ = 21.40°, intensity 38
(1 1 1), 2θ = 22.52°, intensity 100
(1 1 -3), 2θ = 23.15°, intensity 81
(2 2 -2), 2θ = 31.88°, intensity 56
(1 3 0), 2θ = 35.36°, intensity 48
(3 1 -1), 2θ = 40.16°, intensity 39

***

(3)
Starting from a crystal structure in Alexandria, relaxed with PBE, the powder diffraction line list of CsMnSeCl6 was simulated for CuKα.

Structural model:
Lattice parameters (Å, degrees): 6.886 6.923 7.499 93.55 97.99 108.91
Space group P1 (No. 1)
Inequivalent atoms, fractional coordinates:
Cs  0.000  0.000  0.000
Mn  0.669  0.410  0.406
Se  0.236  0.402  0.668
Cl  0.227  0.598  0.918
Cl  0.345  0.180  0.413
Cl  0.632  0.582  0.670
Cl  0.653  0.264  0.128
Cl  0.874  0.210  0.589
Cl  0.933  0.684  0.376

Principal peaks in the range 10° ≤ 2θ ≤ 90°, in order of rising 2θ:
(0 1 -1), 2θ = 17.11°, intensity 100
(-1 1 1), 2θ = 19.40°, intensity 74
(1 0 1), 2θ = 19.80°, intensity 65
(1 -2 1), 2θ = 28.58°, intensity 64
(2 1 0), 2θ = 35.06°, intensity 65
(-1 2 2), 2θ = 36.50°, intensity 58

***

(4)
Starting from a crystal structure in Alexandria, relaxed with PBE, the powder diffraction line list of CsMnSn2Cl8 was simulated for CuKα.

Structural model:
Lattice parameters (Å, degrees): 6.139 7.588 9.322 75.81 75.62 76.16
Space group P-1 (No. 2)
Inequivalent atoms, fractional coordinates:
Cs  0.000  0.000  0.000
Mn  0.000  0.000  0.500
Sn  0.396  0.450  0.240
Cl  0.196  0.693  0.730
Cl  0.229  0.190  0.510
Cl  0.266  0.885  0.314
Cl  0.430  0.282  0.016

Principal peaks in the range 10° ≤ 2θ ≤ 90°, in order of rising 2θ:
(1 1 0), 2θ = 17.63°, intensity 63
(1 -1 0), 2θ = 21.34°, intensity 100
(0 2 1), 2θ = 24.70°, intensity 39
(0 1 -2), 2θ = 25.60°, intensity 48
(2 0 1), 2θ = 30.25°, intensity 42
(1 2 -1), 2θ = 31.10°, intensity 32

***

(5)
Starting from a crystal structure in Alexandria, relaxed with PBE, the powder diffraction line list of CsSr2MnCl8 was simulated for CuKα.

Structural model:
Lattice parameters (Å, degrees): 6.655 6.705 9.039 89.92 89.87 87.26
Space group P-1 (No. 2)
Inequivalent atoms, fractional coordinates:
Cs  0.000  0.000  0.000
Sr  0.500  0.500  0.263
Mn  0.000  0.000  0.500
Cl  0.191  0.838  0.678
Cl  0.192  0.840  0.322
Cl  0.274  0.398  0.000
Cl  0.280  0.306  0.501

Principal peaks in the range 10° ≤ 2θ ≤ 90°, in order of rising 2θ:
(1 1 0), 2θ = 18.35°, intensity 100
(1 -1 0), 2θ = 19.26°, intensity 85
(1 0 -2), 2θ = 23.79°, intensity 89
(1 2 2), 2θ = 35.51°, intensity 39
(2 1 2), 2θ = 35.63°, intensity 46
(2 -1 2), 2θ = 36.55°, intensity 48

***

(6)
Starting from a crystal structure in Alexandria, relaxed with PBE, the powder diffraction line list of CsTaMn2Cl8 was simulated for CuKα.

Structural model:
Lattice parameters (Å, degrees): 6.2707 6.2707 33.1868 90.00 90.00 120.00
Space group R32 (No. 155, hexagonal axes)
Inequivalent atoms, fractional coordinates:
Cs  0.0000  0.0000  0.0000
Ta  0.0000  0.0000  0.5000
Mn  0.0000  0.0000  0.2358
Cl  0.0000  0.0000  0.3048
Cl  0.0193  0.3115  0.5484

Principal peaks in the range 10° ≤ 2θ ≤ 90°, in order of rising 2θ:
(1 0 4), 2θ = 19.54°, intensity 100
(0 1 8), 2θ = 27.05°, intensity 24
(1 1 0), 2θ = 28.47°, intensity 40
(0 2 4), 2θ = 34.76°, intensity 25
(1 1 12), 2θ = 43.64°, intensity 25
(3 0 0), 2θ = 50.43°, intensity 23

***

(7)
Starting from a crystal structure in Alexandria, relaxed with PBE, the powder diffraction line list of CsTiMnCl6 was simulated for CuKα.

Structural model:
Lattice parameters (Å, degrees): 6.576 11.356 7.774 90.00 90.28 90.00
Space group C2 (No. 5)
Inequivalent atoms, fractional coordinates:
Cs  0.000  0.000  0.000
Ti  0.000  0.333  0.500
Mn  0.000  0.667  0.500
Cl  0.118  0.495  0.683
Cl  0.182  0.193  0.682
Cl  0.198  0.814  0.681

Principal peaks in the range 10° ≤ 2θ ≤ 90°, in order of rising 2θ:
(0 2 1), 2θ = 19.34°, intensity 100
(1 3 -1), 2θ = 29.52°, intensity 16
(2 0 -2), 2θ = 35.70°, intensity 21
(1 3 2), 2θ = 35.86°, intensity 34
(1 5 1), 2θ = 43.75°, intensity 15
(3 3 0), 2θ = 47.96°, intensity 11

***

(8)
Starting from a crystal structure in Alexandria, relaxed with PBE, the powder diffraction line list of CsMnTl2Cl5 was simulated for CuKα.

Structural model:
Lattice parameters (Å, degrees): 8.819 8.819 14.891 90.00 90.00 90.00
Space group I4/mcm (No. 140)
Inequivalent atoms, fractional coordinates:
Cs  0.000  0.000  0.250
Mn  0.000  0.500  0.250
Tl  0.171  0.329  0.000
Cl  0.000  0.000  0.000
Cl  0.146  0.354  0.349

Principal peaks in the range 10° ≤ 2θ ≤ 90°, in order of rising 2θ:
(2 1 1), 2θ = 23.33°, intensity 53
(2 0 2), 2θ = 23.45°, intensity 65
(0 0 4), 2θ = 23.90°, intensity 31
(2 1 3), 2θ = 28.91°, intensity 100
(3 1 0), 2θ = 32.10°, intensity 34
(4 1 1), 2θ = 42.73°, intensity 26

***

(9)
Starting from a crystal structure in Alexandria, relaxed with PBE, the powder diffraction line list of CsTm2MnCl8 was simulated for CuKα.

Structural model:
Lattice parameters (Å, degrees): 6.6236 6.6236 26.8494 90.00 90.00 120.00
Space group R-3 (No. 148, hexagonal axes)
Inequivalent atoms, fractional coordinates:
Cs  0.0000  0.0000  0.0000
Tm  0.0000  0.0000  0.1964
Mn  0.0000  0.0000  0.5000
Cl  0.0000  0.0000  0.2907
Cl  0.0138  0.4046  0.7879

Principal peaks in the range 10° ≤ 2θ ≤ 90°, in order of rising 2θ:
(1 0 4), 2θ = 20.37°, intensity 56
(0 1 5), 2θ = 22.68°, intensity 49
(1 1 0), 2θ = 26.92°, intensity 100
(1 1 6), 2θ = 33.67°, intensity 63
(1 0 10), 2θ = 36.97°, intensity 52
(3 0 0), 2θ = 47.56°, intensity 41

***

(10)
Starting from a crystal structure in Alexandria, relaxed with PBE, the powder diffraction line list of Cs2YMn3Cl12 was simulated for CuKα.

Structural model:
Lattice parameters (Å, degrees): 9.0963 9.0963 23.7567 90.00 90.00 120.00
Space group R-3m (No. 166, hexagonal axes)
Inequivalent atoms, fractional coordinates:
Cs  0.0000  0.0000  0.1134
Y  0.0000  0.0000  0.5000
Mn  0.0000  0.5000  0.0000
Cl  0.0459  0.5230  0.1080
Cl  0.0713  0.5357  0.3482

Principal peaks in the range 10° ≤ 2θ ≤ 90°, in order of rising 2θ:
(0 1 5), 2θ = 21.85°, intensity 80
(1 1 3), 2θ = 22.54°, intensity 100
(0 2 1), 2θ = 22.89°, intensity 52
(3 0 3), 2θ = 36.03°, intensity 41
(2 0 8), 2θ = 37.95°, intensity 52
(2 2 0), 2θ = 39.63°, intensity 73

***

(11)
Starting from a crystal structure in Alexandria, relaxed with PBE, the powder diffraction line list of CsMo3Cl7 was simulated for CuKα.

Structural model:
Lattice parameters (Å, degrees): 9.9886 9.9886 15.6457 90.00 90.00 120.00
Space group P31c (No. 159)
Inequivalent atoms, fractional coordinates:
Cs  0.0000  0.0000  0.0000
Cs  0.3333  0.6667  0.2201
Mo  0.1781  0.6601  0.6777
Mo  0.1830  0.5124  0.8146
Cl  0.0243  0.3322  0.3992
Cl  0.0357  0.6818  0.0928
Cl  0.0421  0.6610  0.8126
Cl  0.0523  0.3711  0.6796
Cl  0.3333  0.6667  0.5516
Cl  0.3333  0.6667  0.9404

Principal peaks in the range 10° ≤ 2θ ≤ 90°, in order of rising 2θ:
(1 0 0), 2θ = 10.23°, intensity 38
(0 0 2), 2θ = 11.31°, intensity 39
(1 0 1), 2θ = 11.69°, intensity 100
(1 0 2), 2θ = 15.27°, intensity 74
(4 -2 4), 2θ = 42.97°, intensity 34
(3 2 3), 2θ = 49.12°, intensity 21